The following is a computed PXRD pattern of Na2YTiP3O12. It was derived from a GGA-PBE-relaxed structure, using copper Kα.

Main lines, low angle first (5° ≤ 2θ ≤ 70°):
2θ (°)	I/Imax	h k l
13.71	35	2 0 0
19.26	56	1 1 1
19.66	53	0 2 0
22.90	86	0 2 1
27.65	34	2 2 -2
30.73	100	3 1 -3
34.45	29	3 3 -1
46.72	21	6 2 -4

a = 15.695 Å, b = 9.005 Å, c = 9.235 Å
α = 90.00°, β = 124.53°, γ = 90.00°
Space group Cc (No. 9)
Asymmetric unit:
Na1 0.000 0.112 0.000
Na2 0.250 0.249 0.244
Y1 0.395 0.243 0.693
Ti1 0.108 0.259 0.802
P1 0.012 0.453 0.004
P2 0.144 0.094 0.496
P3 0.356 0.386 0.008
O1 0.049 0.155 0.327
O2 0.073 0.436 0.668
O3 0.091 0.360 0.990
O4 0.136 0.140 0.657
O5 0.144 0.079 0.990
O6 0.239 0.157 0.514
O7 0.257 0.310 0.978
O8 0.350 0.445 0.524
O9 0.358 0.366 0.847
O10 0.441 0.043 0.840
O11 0.444 0.156 0.524
O12 0.456 0.318 0.175